[1]
Starting from a DFT-relaxed cell (GGA+U, the Materials Project), the XRD peak list of FeAsO6 was calculated for copper Kα.

Structure:
```
data_FeAsO6
_chemical_formula_sum 'Fe6 As6 O36'
_cell_length_a 8.7488
_cell_length_b 8.7488
_cell_length_c 10.1012
_cell_angle_alpha 90.00
_cell_angle_beta 90.00
_cell_angle_gamma 120.00
_symmetry_space_group_name_H-M 'P 1'
_symmetry_Int_Tables_number 1
loop_
_symmetry_equiv_pos_as_xyz
'x,y,z'
loop_
_atom_site_label
_atom_site_fract_x
_atom_site_fract_y
_atom_site_fract_z
Fe1 0.0000 0.0000 0.0000
Fe2 0.0000 0.0000 0.5000
Fe3 0.3333 0.6667 0.3077
Fe4 0.3333 0.6667 0.8077
Fe5 0.6667 0.3333 0.1923
Fe6 0.6667 0.3333 0.6923
As1 0.0000 0.2734 0.2500
As2 0.0000 0.7266 0.7500
As3 0.2734 0.0000 0.2500
As4 0.2734 0.2734 0.7500
As5 0.7266 0.0000 0.7500
As6 0.7266 0.7266 0.2500
O1 0.0779 0.2078 0.3835
O2 0.0779 0.8701 0.8835
O3 0.1299 0.2078 0.8835
O4 0.1299 0.9221 0.3835
O5 0.1771 0.4709 0.1988
O6 0.1771 0.7062 0.6988
O7 0.1776 0.5361 0.9305
O8 0.1776 0.6415 0.4305
O9 0.2078 0.0779 0.1165
O10 0.2078 0.1299 0.6165
O11 0.2938 0.4709 0.6988
O12 0.2938 0.8229 0.1988
O13 0.3585 0.5361 0.4305
O14 0.3585 0.8224 0.9305
O15 0.4639 0.6415 0.9305
O16 0.4639 0.8224 0.4305
O17 0.4709 0.1771 0.3012
O18 0.4709 0.2938 0.8012
O19 0.5291 0.7062 0.1988
O20 0.5291 0.8229 0.6988
O21 0.5361 0.1776 0.5695
O22 0.5361 0.3585 0.0695
O23 0.6415 0.1776 0.0695
O24 0.6415 0.4639 0.5695
O25 0.7062 0.1771 0.8012
O26 0.7062 0.5291 0.3012
O27 0.7922 0.8701 0.3835
O28 0.7922 0.9221 0.8835
O29 0.8224 0.3585 0.5695
O30 0.8224 0.4639 0.0695
O31 0.8229 0.2938 0.3012
O32 0.8229 0.5291 0.8012
O33 0.8701 0.0779 0.6165
O34 0.8701 0.7922 0.1165
O35 0.9221 0.1299 0.1165
O36 0.9221 0.7922 0.6165
```

Most intense lines, 2θ from 5° to 70°, most intense first:
(hkl)  two_theta  I_rel
1 1 1  22.14  100
0 0 2  17.56  48
0 2 2  29.47  44
2 1 1  32.50  32
2 1 2  36.05  32
1 1 3  33.59  31

=====

[2]
Starting from a DFT-relaxed cell (GGA+U, the Materials Project), the XRD peak list of Fe4As3O23 was calculated for copper Kα.

Structure:
```
data_Fe4As3O23
_chemical_formula_sum 'Fe4 As3 O23'
_cell_length_a 7.9168
_cell_length_b 7.9252
_cell_length_c 7.9432
_cell_angle_alpha 88.66
_cell_angle_beta 89.43
_cell_angle_gamma 89.63
_symmetry_space_group_name_H-M 'P 1'
_symmetry_Int_Tables_number 1
loop_
_symmetry_equiv_pos_as_xyz
'x,y,z'
loop_
_atom_site_label
_atom_site_fract_x
_atom_site_fract_y
_atom_site_fract_z
Fe1 0.0000 0.0000 0.0000
Fe2 0.0003 0.2815 0.7174
Fe3 0.2708 0.2692 0.9869
Fe4 0.2730 0.0078 0.7250
As1 0.1400 0.1428 0.3574
As2 0.1401 0.6395 0.8602
As3 0.6347 0.1377 0.8560
O1 0.0162 0.0108 0.2447
O2 0.0157 0.5261 0.7297
O3 0.0194 0.2781 0.4731
O4 0.0190 0.7548 0.9962
O5 0.0323 0.6710 0.3855
O6 0.0326 0.2575 0.9755
O7 0.0345 0.0217 0.7398
O8 0.2611 0.0256 0.9708
O9 0.2617 0.2532 0.7436
O10 0.2740 0.2596 0.2265
O11 0.2737 0.7667 0.7384
O12 0.2750 0.0222 0.4839
O13 0.2745 0.5096 0.9766
O14 0.5116 0.2644 0.9833
O15 0.5153 0.0104 0.7290
O16 0.5245 0.5493 0.4267
O17 0.5444 0.6428 0.2945
O18 0.6177 0.1096 0.3623
O19 0.6336 0.6483 0.8611
O20 0.6918 0.6462 0.2228
O21 0.7566 0.0105 0.9841
O22 0.7571 0.2669 0.7301
O23 0.8924 0.7006 0.4395
```

Most intense lines, 2θ from 5° to 70°, most intense first:
(hkl)  two_theta  I_rel
1 0 0  11.16  100
0 2 0  22.43  25
1 -1 1  19.54  16
-1 1 1  19.35  12
1 1 1  19.14  7
-1 3 1  37.47  7

=====

[3]
Starting from a DFT-relaxed cell (GGA+U, the Materials Project), the XRD peak list of Fe4As5O13 was calculated for copper Kα.

Structure:
```
data_Fe4As5O13
_chemical_formula_sum 'Fe8 As10 O26'
_cell_length_a 9.1309
_cell_length_b 9.2888
_cell_length_c 9.3203
_cell_angle_alpha 94.15
_cell_angle_beta 115.98
_cell_angle_gamma 112.48
_symmetry_space_group_name_H-M 'P 1'
_symmetry_Int_Tables_number 1
loop_
_symmetry_equiv_pos_as_xyz
'x,y,z'
loop_
_atom_site_label
_atom_site_fract_x
_atom_site_fract_y
_atom_site_fract_z
Fe1 0.0000 0.0000 0.0000
Fe2 0.0000 0.0000 0.5000
Fe3 0.2618 0.1969 0.3794
Fe4 0.3525 0.3836 0.8031
Fe5 0.4692 0.2209 0.1057
Fe6 0.5308 0.7791 0.8943
Fe7 0.6475 0.6164 0.1969
Fe8 0.7382 0.8031 0.6206
As1 0.0993 0.7949 0.3020
As2 0.1593 0.8372 0.8327
As3 0.2121 0.4309 0.0953
As4 0.3018 0.5510 0.5410
As5 0.4670 0.0923 0.7374
As6 0.5330 0.9077 0.2626
As7 0.6982 0.4490 0.4590
As8 0.7879 0.5691 0.9047
As9 0.8407 0.1628 0.1673
As10 0.9007 0.2051 0.6980
O1 0.0072 0.1488 0.3555
O2 0.0183 0.3707 0.8891
O3 0.0956 0.2064 0.6856
O4 0.1367 0.2381 0.1456
O5 0.1399 0.9683 0.2210
O6 0.2183 0.0207 0.9720
O7 0.2610 0.0618 0.5487
O8 0.2900 0.5624 0.7316
O9 0.3660 0.9145 0.8016
O10 0.3738 0.4113 0.0378
O11 0.3781 0.3935 0.5821
O12 0.4759 0.2432 0.8759
O13 0.4836 0.2643 0.3630
O14 0.5164 0.7357 0.6370
O15 0.5241 0.7568 0.1241
O16 0.6219 0.6065 0.4179
O17 0.6262 0.5887 0.9622
O18 0.6340 0.0855 0.1984
O19 0.7100 0.4376 0.2684
O20 0.7390 0.9382 0.4513
O21 0.7817 0.9793 0.0280
O22 0.8601 0.0317 0.7790
O23 0.8633 0.7619 0.8544
O24 0.9044 0.7936 0.3144
O25 0.9817 0.6293 0.1109
O26 0.9928 0.8512 0.6445
```

Most intense lines, 2θ from 5° to 70°, most intense first:
(hkl)  two_theta  I_rel
1 -1 0  11.95  100
-3 1 2  30.19  83
-1 2 2  29.61  81
2 1 0  31.14  73
1 -1 2  27.86  66
1 -3 1  29.96  55

=====

[4]
Starting from a DFT-relaxed cell (GGA+U, the Materials Project), the XRD peak list of Fe7As6O24 was calculated for copper Kα.

Structure:
```
data_Fe7As6O24
_chemical_formula_sum 'Fe7 As6 O24'
_cell_length_a 6.6973
_cell_length_b 8.2344
_cell_length_c 9.8317
_cell_angle_alpha 104.84
_cell_angle_beta 107.79
_cell_angle_gamma 101.83
_symmetry_space_group_name_H-M 'P 1'
_symmetry_Int_Tables_number 1
loop_
_symmetry_equiv_pos_as_xyz
'x,y,z'
loop_
_atom_site_label
_atom_site_fract_x
_atom_site_fract_y
_atom_site_fract_z
Fe1 0.0000 0.0000 0.0000
Fe2 0.0459 0.7188 0.5244
Fe3 0.2800 0.8040 0.2892
Fe4 0.3795 0.4539 0.1105
Fe5 0.6205 0.5461 0.8895
Fe6 0.7200 0.1960 0.7108
Fe7 0.9541 0.2812 0.4756
As1 0.0995 0.5995 0.8344
As2 0.2277 0.1514 0.7694
As3 0.3954 0.2320 0.3711
As4 0.6046 0.7680 0.6289
As5 0.7723 0.8486 0.2306
As6 0.9005 0.4005 0.1656
O1 0.0063 0.1959 0.6545
O2 0.0689 0.5487 0.6447
O3 0.1290 0.5348 0.1552
O4 0.1374 0.8110 0.9270
O5 0.2116 0.9374 0.6975
O6 0.2214 0.2024 0.9511
O7 0.2428 0.2860 0.4753
O8 0.2619 0.0240 0.2357
O9 0.3234 0.5322 0.9179
O10 0.3545 0.7555 0.4980
O11 0.4452 0.3750 0.2789
O12 0.4742 0.2758 0.7764
O13 0.5258 0.7242 0.2236
O14 0.5548 0.6250 0.7211
O15 0.6455 0.2445 0.5020
O16 0.6766 0.4678 0.0821
O17 0.7381 0.9760 0.7643
O18 0.7572 0.7140 0.5247
O19 0.7786 0.7976 0.0489
O20 0.7884 0.0626 0.3025
O21 0.8626 0.1890 0.0730
O22 0.8710 0.4652 0.8448
O23 0.9311 0.4513 0.3553
O24 0.9937 0.8041 0.3455
```

Most intense lines, 2θ from 5° to 70°, most intense first:
(hkl)  two_theta  I_rel
0 2 1  28.67  100
2 0 -1  27.23  23
2 -1 0  28.12  20
2 1 -2  31.92  17
1 -2 2  29.50  16
0 3 -2  34.38  14

=====

[5]
Starting from a DFT-relaxed cell (GGA+U, the Materials Project), the XRD peak list of Fe3As4O16 was calculated for copper Kα.

Structure:
```
data_Fe3As4O16
_chemical_formula_sum 'Fe6 As8 O32'
_cell_length_a 9.5340
_cell_length_b 4.9989
_cell_length_c 15.7176
_cell_angle_alpha 90.00
_cell_angle_beta 113.32
_cell_angle_gamma 90.00
_symmetry_space_group_name_H-M 'P 1'
_symmetry_Int_Tables_number 1
loop_
_symmetry_equiv_pos_as_xyz
'x,y,z'
loop_
_atom_site_label
_atom_site_fract_x
_atom_site_fract_y
_atom_site_fract_z
Fe1 0.0000 0.0000 0.0000
Fe2 0.0000 0.5000 0.5000
Fe3 0.2997 0.0416 0.6281
Fe4 0.2997 0.4584 0.1281
Fe5 0.7003 0.5416 0.8719
Fe6 0.7003 0.9584 0.3719
As1 0.0489 0.0551 0.3963
As2 0.0489 0.4449 0.8963
As3 0.4655 0.0537 0.8558
As4 0.4655 0.4463 0.3558
As5 0.5345 0.5537 0.6442
As6 0.5345 0.9463 0.1442
As7 0.9511 0.5551 0.1037
As8 0.9511 0.9449 0.6037
O1 0.0309 0.7170 0.4055
O2 0.0309 0.7830 0.9055
O3 0.0867 0.1294 0.3024
O4 0.0867 0.3706 0.8024
O5 0.1162 0.7130 0.0992
O6 0.1162 0.7870 0.5992
O7 0.1712 0.2162 0.4985
O8 0.1712 0.2838 0.9985
O9 0.3090 0.0071 0.7544
O10 0.3090 0.4929 0.2544
O11 0.3825 0.1039 0.1549
O12 0.3825 0.3961 0.6549
O13 0.4136 0.5772 0.4421
O14 0.4136 0.9228 0.9421
O15 0.4722 0.6214 0.1175
O16 0.4722 0.8786 0.6175
O17 0.5278 0.1214 0.3825
O18 0.5278 0.3786 0.8825
O19 0.5864 0.0772 0.0579
O20 0.5864 0.4228 0.5579
O21 0.6175 0.6039 0.3451
O22 0.6175 0.8961 0.8451
O23 0.6911 0.5071 0.7456
O24 0.6911 0.9929 0.2456
O25 0.8288 0.7163 0.0015
O26 0.8288 0.7837 0.5015
O27 0.8838 0.2130 0.4008
O28 0.8838 0.2870 0.9008
O29 0.9133 0.6294 0.1976
O30 0.9133 0.8706 0.6976
O31 0.9691 0.2170 0.0945
O32 0.9691 0.2830 0.5945
```

Most intense lines, 2θ from 5° to 70°, most intense first:
(hkl)  two_theta  I_rel
1 0 -2  12.43  100
1 1 -1  20.17  89
2 1 -1  25.90  73
2 0 0  20.29  66
0 0 4  24.67  62
0 2 0  35.93  46

=====

[6]
Starting from a DFT-relaxed cell (GGA+U, the Materials Project), the XRD peak list of FeAsO4 was calculated for copper Kα.

Structure:
```
data_FeAsO4
_chemical_formula_sum 'Fe4 As4 O16'
_cell_length_a 5.1291
_cell_length_b 8.2773
_cell_length_c 8.0864
_cell_angle_alpha 90.00
_cell_angle_beta 112.76
_cell_angle_gamma 90.00
_symmetry_space_group_name_H-M 'P 1'
_symmetry_Int_Tables_number 1
loop_
_symmetry_equiv_pos_as_xyz
'x,y,z'
loop_
_atom_site_label
_atom_site_fract_x
_atom_site_fract_y
_atom_site_fract_z
Fe1 0.0912 0.0408 0.3258
Fe2 0.0912 0.4592 0.8258
Fe3 0.9088 0.5408 0.1742
Fe4 0.9088 0.9592 0.6742
As1 0.3453 0.7029 0.5718
As2 0.3453 0.7971 0.0718
As3 0.6547 0.2029 0.9282
As4 0.6547 0.2971 0.4282
O1 0.1297 0.6250 0.0223
O2 0.1297 0.8750 0.5223
O3 0.2335 0.5780 0.3896
O4 0.2335 0.9220 0.8896
O5 0.3127 0.2349 0.3694
O6 0.3127 0.2651 0.8694
O7 0.3225 0.6037 0.7507
O8 0.3225 0.8963 0.2507
O9 0.6775 0.1037 0.7493
O10 0.6775 0.3963 0.2493
O11 0.6873 0.7349 0.1306
O12 0.6873 0.7651 0.6306
O13 0.7665 0.0780 0.1104
O14 0.7665 0.4220 0.6104
O15 0.8703 0.1250 0.4777
O16 0.8703 0.3750 0.9777
```

Most intense lines, 2θ from 5° to 70°, most intense first:
(hkl)  two_theta  I_rel
1 2 -1  28.10  100
0 1 2  26.21  64
1 1 0  21.64  61
1 2 0  28.66  54
1 1 -2  26.34  48
0 2 2  32.32  27

=====

[7]
Starting from a DFT-relaxed cell (GGA+U, the Materials Project), the XRD peak list of Fe4As3O23 was calculated for copper Kα.

Structure:
```
data_Fe4As3O23
_chemical_formula_sum 'Fe4 As3 O23'
_cell_length_a 7.9163
_cell_length_b 7.9163
_cell_length_c 7.9163
_cell_angle_alpha 90.00
_cell_angle_beta 90.00
_cell_angle_gamma 90.00
_symmetry_space_group_name_H-M 'P 1'
_symmetry_Int_Tables_number 1
loop_
_symmetry_equiv_pos_as_xyz
'x,y,z'
loop_
_atom_site_label
_atom_site_fract_x
_atom_site_fract_y
_atom_site_fract_z
Fe1 0.1354 0.1354 0.1354
Fe2 0.1354 0.8646 0.8646
Fe3 0.8646 0.1354 0.8646
Fe4 0.8646 0.8646 0.1354
As1 0.0000 0.0000 0.5000
As2 0.0000 0.5000 0.0000
As3 0.5000 0.0000 0.0000
O1 0.0000 0.5000 0.5000
O2 0.1155 0.1155 0.8845
O3 0.1155 0.8845 0.1155
O4 0.1276 0.1276 0.3789
O5 0.1276 0.3789 0.1276
O6 0.1276 0.6211 0.8724
O7 0.1276 0.8724 0.6211
O8 0.3519 0.3519 0.6481
O9 0.3519 0.6481 0.3519
O10 0.3789 0.1276 0.1276
O11 0.3789 0.8724 0.8724
O12 0.5000 0.0000 0.5000
O13 0.5000 0.5000 0.0000
O14 0.6211 0.1276 0.8724
O15 0.6211 0.8724 0.1276
O16 0.6481 0.3519 0.3519
O17 0.6481 0.6481 0.6481
O18 0.8724 0.1276 0.6211
O19 0.8724 0.3789 0.8724
O20 0.8724 0.6211 0.1276
O21 0.8724 0.8724 0.3789
O22 0.8845 0.1155 0.1155
O23 0.8845 0.8845 0.8845
```

Most intense lines, 2θ from 5° to 70°, most intense first:
(hkl)  two_theta  I_rel
1 0 0  11.18  100
2 1 1  27.60  27
1 1 1  19.42  22
3 1 0  35.87  20
2 2 0  31.98  18
2 0 0  22.46  15